Entry 1:
For Pa3Se4, a structure optimized by DFT (PBE) gives the computed X-ray powder pattern in this record (Cu Ka).

Peak list (10 most intense, 2θ from 10° to 90°, in order of rising 2θ)
| 2θ (°) | I_rel |
| --- | --- |
| 12.83 | 31 |
| 25.27 | 100 |
| 25.55 | 30 |
| 29.42 | 41 |
| 33.31 | 68 |
| 34.80 | 73 |
| 38.01 | 55 |
| 39.72 | 30 |
| 44.36 | 78 |
| 71.59 | 37 |

Atomic structure:
Cell: 4.0839 4.0839 41.4145 Å, 90.00 90.00 120.00°
Space group R-3m (No. 166, hexagonal axes)
Asymmetric unit:
Pa  0.0000  0.0000  0.0000 [3 per cell]
Pa  0.0000  0.0000  0.0851 [6 per cell]
Se  0.0000  0.0000  0.2101 [6 per cell]
Se  0.0000  0.0000  0.3755 [6 per cell]

Entry 2:
For CdAg2H2, a structure optimized by DFT (PBE) gives the computed X-ray powder pattern in this record (Cu Ka).

Peak list (10 most intense, 2θ from 10° to 90°, in order of rising 2θ)
| 2θ (°) | I_rel |
| --- | --- |
| 20.51 | 27 |
| 29.16 | 11 |
| 30.72 | 20 |
| 37.22 | 100 |
| 41.71 | 37 |
| 46.20 | 14 |
| 60.46 | 12 |
| 63.98 | 19 |
| 73.18 | 26 |
| 79.33 | 10 |

Atomic structure:
Cell: 6.125 6.125 3.930 Å, 90.00 90.00 90.00°
Space group P4/mbm (No. 127)
Asymmetric unit:
Cd  0.000  0.000  0.000 [2 per cell]
Ag  0.248  0.252  0.500 [4 per cell]
H  0.248  0.252  0.000 [4 per cell]

Entry 3:
For Sc4IrOs, a structure optimized by DFT (PBE) gives the computed X-ray powder pattern in this record (Cu Ka).

Peak list (10 most intense, 2θ from 10° to 90°, in order of rising 2θ)
| 2θ (°) | I_rel |
| --- | --- |
| 24.22 | 100 |
| 28.03 | 14 |
| 40.06 | 88 |
| 47.37 | 51 |
| 57.95 | 15 |
| 63.73 | 21 |
| 65.59 | 6 |
| 72.78 | 29 |
| 78.00 | 16 |
| 86.49 | 9 |

Atomic structure:
Cell: 4.500 4.500 6.368 Å, 90.00 90.00 90.00°
Space group P4/mmm (No. 123)
Asymmetric unit:
Sc  0.000  0.500  0.247 [4 per cell]
Ir  0.000  0.000  0.500 [1 per cell]
Os  0.500  0.500  0.000 [1 per cell]

Entry 4:
For Ce2Rh17, a structure optimized by DFT (PBE) gives the computed X-ray powder pattern in this record (Cu Ka).

Peak list (10 most intense, 2θ from 10° to 90°, in order of rising 2θ)
| 2θ (°) | I_rel |
| --- | --- |
| 34.55 | 36 |
| 35.77 | 25 |
| 40.11 | 61 |
| 40.39 | 100 |
| 41.22 | 47 |
| 41.46 | 22 |
| 45.34 | 63 |
| 58.86 | 21 |
| 72.87 | 23 |
| 74.59 | 22 |

Atomic structure:
Cell: 8.9929 8.9929 13.1371 Å, 90.00 90.00 120.00°
Space group R-3m (No. 166, hexagonal axes)
Asymmetric unit:
Ce  0.0000  0.0000  0.1644 [6 per cell]
Rh  0.0000  0.0000  0.3979 [6 per cell]
Rh  0.0000  0.2988  0.5000 [18 per cell]
Rh  0.0000  0.5000  0.0000 [9 per cell]
Rh  0.0035  0.5018  0.6524 [18 per cell]

Entry 5:
For BC2, a structure optimized by DFT (PBE) gives the computed X-ray powder pattern in this record (Cu Ka).

Peak list (10 most intense, 2θ from 10° to 90°, in order of rising 2θ)
| 2θ (°) | I_rel |
| --- | --- |
| 11.04 | 50 |
| 41.15 | 50 |
| 42.00 | 56 |
| 42.68 | 100 |
| 70.53 | 11 |
| 71.18 | 27 |
| 72.37 | 23 |
| 73.66 | 15 |
| 85.51 | 9 |
| 88.59 | 9 |

Atomic structure:
Cell: 3.735 2.572 8.013 Å, 90.00 91.18 90.00°
Space group Pm (No. 6)
Asymmetric unit:
B  0.000  0.000  0.000 [1 per cell]
B  0.031  0.000  0.372 [1 per cell]
B  0.325  0.000  0.212 [1 per cell]
B  0.703  0.500  0.357 [1 per cell]
C  0.007  0.000  0.697 [1 per cell]
C  0.262  0.000  0.542 [1 per cell]
C  0.275  0.000  0.851 [1 per cell]
C  0.497  0.500  0.542 [1 per cell]
C  0.514  0.500  0.852 [1 per cell]
C  0.516  0.500  0.165 [1 per cell]
C  0.751  0.500  0.017 [1 per cell]
C  0.766  0.500  0.694 [1 per cell]

Entry 6:
For Ba2Mg4Pt, a structure optimized by DFT (PBE) gives the computed X-ray powder pattern in this record (Cu Ka).

Peak list (10 most intense, 2θ from 10° to 90°, in order of rising 2θ)
| 2θ (°) | I_rel |
| --- | --- |
| 22.25 | 100 |
| 24.56 | 48 |
| 27.97 | 23 |
| 35.01 | 29 |
| 37.56 | 27 |
| 41.88 | 39 |
| 45.39 | 24 |
| 46.21 | 19 |
| 59.27 | 18 |
| 64.48 | 12 |

Atomic structure:
Cell: 5.125 5.125 19.143 Å, 90.00 90.00 90.00°
Space group I4/mmm (No. 139)
Asymmetric unit:
Ba  0.000  0.000  0.169 [4 per cell]
Mg  0.000  0.000  0.368 [4 per cell]
Mg  0.000  0.500  0.000 [4 per cell]
Pt  0.000  0.000  0.500 [2 per cell]

Entry 7:
For Sm2Ga5Pt3, a structure optimized by DFT (PBE) gives the computed X-ray powder pattern in this record (Cu Ka).

Peak list (10 most intense, 2θ from 10° to 90°, in order of rising 2θ)
| 2θ (°) | I_rel |
| --- | --- |
| 24.97 | 12 |
| 26.38 | 13 |
| 27.01 | 10 |
| 34.92 | 100 |
| 38.26 | 32 |
| 41.13 | 31 |
| 46.15 | 12 |
| 46.88 | 15 |
| 67.02 | 14 |
| 70.95 | 13 |

Atomic structure:
Cell: 4.389 25.066 6.843 Å, 90.00 90.00 90.00°
Space group Cmc2_1 (No. 36)
Asymmetric unit:
Sm  0.000  0.017  0.000 [4 per cell]
Sm  0.000  0.325  0.977 [4 per cell]
Ga  0.000  0.104  0.658 [4 per cell]
Ga  0.000  0.206  0.171 [4 per cell]
Ga  0.000  0.208  0.766 [4 per cell]
Ga  0.000  0.377  0.506 [4 per cell]
Ga  0.000  0.448  0.822 [4 per cell]
Pt  0.000  0.107  0.265 [4 per cell]
Pt  0.000  0.275  0.466 [4 per cell]
Pt  0.000  0.448  0.215 [4 per cell]

Entry 8:
For Tb3TmNi, a structure optimized by DFT (PBE) gives the computed X-ray powder pattern in this record (Cu Ka).

Peak list (10 most intense, 2θ from 10° to 90°, in order of rising 2θ)
| 2θ (°) | I_rel |
| --- | --- |
| 27.96 | 20 |
| 29.67 | 21 |
| 30.48 | 24 |
| 31.48 | 100 |
| 32.26 | 37 |
| 32.50 | 58 |
| 33.59 | 50 |
| 35.21 | 51 |
| 50.62 | 33 |
| 59.68 | 24 |

Atomic structure:
Cell: 12.046 3.608 13.782 Å, 90.00 115.40 90.00°
Space group Cm (No. 8)
Asymmetric unit:
Tb  0.000  0.000  0.000 [2 per cell]
Tb  0.045  0.000  0.596 [2 per cell]
Tb  0.120  0.500  0.841 [2 per cell]
Tb  0.195  0.500  0.240 [2 per cell]
Tb  0.266  0.000  0.479 [2 per cell]
Tb  0.330  0.500  0.722 [2 per cell]
Tm  0.314  0.000  0.082 [2 per cell]
Tm  0.480  0.000  0.354 [2 per cell]
Ni  0.317  0.000  0.873 [2 per cell]
Ni  0.493  0.500  0.207 [2 per cell]

Entry 9:
For Na2CuSbS3, a structure optimized by DFT (PBE) gives the computed X-ray powder pattern in this record (Cu Ka).

Peak list (10 most intense, 2θ from 10° to 90°, in order of rising 2θ)
| 2θ (°) | I_rel |
| --- | --- |
| 10.27 | 100 |
| 19.38 | 45 |
| 20.93 | 23 |
| 26.07 | 26 |
| 30.21 | 36 |
| 30.94 | 45 |
| 33.92 | 23 |
| 34.33 | 60 |
| 44.18 | 24 |
| 46.01 | 29 |

Atomic structure:
Cell: 5.869 17.227 7.071 Å, 90.00 116.98 90.00°
Space group P2_1/c (No. 14)
Asymmetric unit:
Na  0.070  0.114  0.116 [4 per cell]
Na  0.343  0.038  0.691 [4 per cell]
Cu  0.384  0.214  0.907 [4 per cell]
Sb  0.245  0.673  0.016 [4 per cell]
S  0.159  0.555  0.805 [4 per cell]
S  0.211  0.197  0.550 [4 per cell]
S  0.416  0.614  0.371 [4 per cell]

Entry 10:
For PmErTeO2, a structure optimized by DFT (PBE) gives the computed X-ray powder pattern in this record (Cu Ka).

Peak list (10 most intense, 2θ from 10° to 90°, in order of rising 2θ)
| 2θ (°) | I_rel |
| --- | --- |
| 25.52 | 90 |
| 30.43 | 96 |
| 30.76 | 100 |
| 32.20 | 73 |
| 32.31 | 51 |
| 34.92 | 86 |
| 43.98 | 44 |
| 46.32 | 37 |
| 54.42 | 38 |
| 54.62 | 39 |

Atomic structure:
Cell: 6.881 4.118 7.841 Å, 90.00 107.15 90.00°
Space group P2_1/m (No. 11)
Asymmetric unit:
Pm  0.177  0.250  0.425 [2 per cell]
Er  0.156  0.250  0.913 [2 per cell]
Te  0.452  0.750  0.750 [2 per cell]
O  0.010  0.750  0.885 [2 per cell]
O  0.017  0.750  0.372 [2 per cell]

Entry 11:
For Pm4NdSm15, a structure optimized by DFT (PBE) gives the computed X-ray powder pattern in this record (Cu Ka).

Peak list (8 most intense, 2θ from 10° to 90°, in order of rising 2θ)
| 2θ (°) | I_rel |
| --- | --- |
| 30.10 | 100 |
| 34.90 | 51 |
| 50.18 | 36 |
| 59.64 | 43 |
| 62.58 | 12 |
| 73.70 | 6 |
| 81.62 | 18 |
| 84.22 | 16 |

Atomic structure:
Cell: 5.143 5.143 25.700 Å, 90.00 90.00 90.00°
Space group P4/mmm (No. 123)
Asymmetric unit:
Pm  0.000  0.000  0.100 [2 per cell]
Pm  0.000  0.000  0.300 [2 per cell]
Nd  0.000  0.000  0.500 [1 per cell]
Sm  0.000  0.500  0.000 [2 per cell]
Sm  0.000  0.500  0.200 [4 per cell]
Sm  0.000  0.500  0.400 [4 per cell]
Sm  0.500  0.500  0.100 [2 per cell]
Sm  0.500  0.500  0.300 [2 per cell]
Sm  0.500  0.500  0.500 [1 per cell]

Entry 12:
For Pm5Dy2ErSc, a structure optimized by DFT (PBE) gives the computed X-ray powder pattern in this record (Cu Ka).

Peak list (10 most intense, 2θ from 10° to 90°, in order of rising 2θ)
| 2θ (°) | I_rel |
| --- | --- |
| 27.12 | 35 |
| 31.50 | 9 |
| 31.77 | 100 |
| 32.82 | 14 |
| 33.55 | 41 |
| 35.28 | 16 |
| 47.63 | 10 |
| 49.46 | 13 |
| 58.85 | 17 |
| 60.59 | 13 |

Atomic structure:
Cell: 5.345 21.830 10.177 Å, 90.00 90.00 90.00°
Space group Cmcm (No. 63)
Asymmetric unit:
Pm  0.000  0.000  0.000 [4 per cell]
Pm  0.000  0.127  0.250 [4 per cell]
Pm  0.000  0.221  0.562 [8 per cell]
Pm  0.000  0.499  0.750 [4 per cell]
Dy  0.000  0.384  0.001 [8 per cell]
Er  0.000  0.101  0.750 [4 per cell]
Sc  0.000  0.286  0.250 [4 per cell]

Copy entry 8 word for word.
For Tb3TmNi, a structure optimized by DFT (PBE) gives the computed X-ray powder pattern in this record (Cu Ka).

Peak list (10 most intense, 2θ from 10° to 90°, in order of rising 2θ)
| 2θ (°) | I_rel |
| --- | --- |
| 27.96 | 20 |
| 29.67 | 21 |
| 30.48 | 24 |
| 31.48 | 100 |
| 32.26 | 37 |
| 32.50 | 58 |
| 33.59 | 50 |
| 35.21 | 51 |
| 50.62 | 33 |
| 59.68 | 24 |

Atomic structure:
Cell: 12.046 3.608 13.782 Å, 90.00 115.40 90.00°
Space group Cm (No. 8)
Asymmetric unit:
Tb  0.000  0.000  0.000 [2 per cell]
Tb  0.045  0.000  0.596 [2 per cell]
Tb  0.120  0.500  0.841 [2 per cell]
Tb  0.195  0.500  0.240 [2 per cell]
Tb  0.266  0.000  0.479 [2 per cell]
Tb  0.330  0.500  0.722 [2 per cell]
Tm  0.314  0.000  0.082 [2 per cell]
Tm  0.480  0.000  0.354 [2 per cell]
Ni  0.317  0.000  0.873 [2 per cell]
Ni  0.493  0.500  0.207 [2 per cell]